Diffraction record for TlSn2Hg7. The powder diffraction line list is theoretical, not measured: it uses a GGA-PBE-relaxed structure and λ = 1.5418 Å (Cu Kα).
Lines closer than 0.1° are merged.

Peak list (6 most intense, 15 to 90 degrees two-theta, sorted by position)
d (Å)  Rel. int.
3.424  96
3.036  51
2.642  100
2.535  68
2.369  76
2.317  64

Atomic structure:
Cell: 10.579 10.579 3.229 Å, 90.00 90.00 122.71°
Positions (direct):
Tl 0.000 0.000 0.000
Sn 0.335 0.665 0.500
Sn 0.665 0.335 0.500
Hg 0.121 0.334 0.500
Hg 0.190 0.810 0.000
Hg 0.334 0.121 0.500
Hg 0.500 0.500 0.500
Hg 0.666 0.879 0.500
Hg 0.810 0.190 0.000
Hg 0.879 0.666 0.500